# Sm3AsS
Calculated XRD peak list, Cu Kα (λ = 1.5418 Å). Input: the GGA-PBE geometry in Alexandria.
Neutral-atom scattering factors, no anomalous dispersion.

Structure:
Cell: 6.699 6.699 3.700 Å, 90.00 90.00 120.00°
Element x y z (fractional)
1 Sm 0.007 0.671 0.000
2 Sm 0.329 0.336 0.000
3 Sm 0.664 0.993 0.000
4 As 0.667 0.333 0.500
5 S 0.333 0.667 0.500

Main lines, by angle (2θ from 10° to 80°):
2θ (°)  intensity  hkl
24.05  21  0 0 1
26.61  69  1 1 0
36.17  100  1 1 1
46.98  28  3 0 0
49.25  8  0 0 2
53.46  14  3 0 1
54.81  9  2 2 0
56.85  17  1 1 2
60.69  22  2 2 1
70.43  17  3 0 2